Entry 1:
Structure and calculated XRD peak list of InSn2Br5 (a PBE-relaxed structure; CuKα).

Cell and atoms:
Cell lengths 8.439, 8.439, 14.828 Å; angles 90.00, 90.00, 90.00 degrees
Space group I4/mcm (No. 140)
Symmetry-distinct sites (fractional):
In 0.000 0.000 0.250 [4 per cell]
Sn 0.175 0.325 0.000 [8 per cell]
Br 0.000 0.000 0.000 [4 per cell]
Br 0.161 0.339 0.365 [16 per cell]

Main lines, in order of rising 2θ (2θ from 10° to 80°):
two_theta  I (rel.)  h k l
11.9  19  0 0 2
24.3  14  2 0 2
28.3  22  1 1 4
29.8  100  2 1 3
29.9  20  2 2 0
33.6  57  3 1 0
38.6  28  2 1 5
48.1  27  4 1 3
54.5  15  4 1 5
60.8  18  3 1 8


Entry 2:
Structure and calculated XRD peak list of Sr2InBr5 (a PBE-relaxed structure; CuKα).

Cell and atoms:
Cell lengths 9.438, 8.496, 13.515 Å; angles 90.00, 90.06, 90.00 degrees
Space group P2_1/c (No. 14)
Symmetry-distinct sites (fractional):
Sr 0.001 0.024 0.322 [4 per cell]
Sr 0.248 0.574 0.494 [4 per cell]
In 0.490 0.510 0.179 [4 per cell]
Br 0.041 0.160 0.101 [4 per cell]
Br 0.218 0.545 0.998 [4 per cell]
Br 0.220 0.159 0.815 [4 per cell]
Br 0.226 0.694 0.716 [4 per cell]
Br 0.463 0.163 0.092 [4 per cell]

Main lines, in order of rising 2θ (2θ from 10° to 80°):
two_theta  I (rel.)  h k l
25.3  43  2 1 -2
28.4  39  0 1 4
29.0  50  2 2 1
29.4  50  2 1 3
31.3  100  2 2 -2
32.3  35  0 3 1
32.6  49  2 0 4
37.5  24  0 3 3
38.1  38  4 0 0
39.9  38  2 1 -5


Entry 3:
Structure and calculated XRD peak list of ThIn2Br6 (a PBE-relaxed structure; CuKα).

Cell and atoms:
Cell lengths 8.910, 14.905, 9.144 Å; angles 90.00, 91.00, 90.00 degrees
Space group C2/c (No. 15)
Symmetry-distinct sites (fractional):
Th 0.000 0.061 0.250 [4 per cell]
In 0.012 0.345 0.003 [8 per cell]
Br 0.019 0.113 0.944 [8 per cell]
Br 0.195 0.494 0.265 [8 per cell]
Br 0.202 0.223 0.268 [8 per cell]

Main lines, in order of rising 2θ (2θ from 10° to 80°):
two_theta  I (rel.)  h k l
11.6  63  1 1 0
19.9  52  2 0 0
22.8  75  0 2 2
28.2  53  2 0 2
30.7  44  3 1 0
31.0  100  0 4 2
31.3  84  2 4 0
31.7  53  0 2 3
35.2  39  3 3 0
39.4  46  0 0 4


Entry 4:
Structure and calculated XRD peak list of IrBr3 (a PBE-relaxed structure; CuKα).

Cell and atoms:
Cell lengths 6.482, 11.215, 6.974 Å; angles 90.00, 107.35, 90.00 degrees
Space group C2/m (No. 12)
Symmetry-distinct sites (fractional):
Ir 0.000 0.167 0.000 [4 per cell]
Br 0.213 0.000 0.209 [4 per cell]
Br 0.244 0.323 0.209 [8 per cell]

Main lines, in order of rising 2θ (2θ from 10° to 80°):
two_theta  I (rel.)  h k l
13.3  100  0 0 1
15.8  14  0 2 0
16.4  24  1 1 0
18.2  17  1 1 -1
27.9  23  2 0 -1
32.9  63  1 3 1
33.1  33  2 0 -2
42.1  23  1 3 2
46.0  20  1 3 -3
48.7  33  0 6 0


Entry 5:
Structure and calculated XRD peak list of La3IrBr3 (a PBE-relaxed structure; CuKα).

Cell and atoms:
Cell lengths 12.260, 12.260, 12.260 Å; angles 90.00, 90.00, 90.00 degrees
Space group I4_132 (No. 214)
Symmetry-distinct sites (fractional):
La 0.109 0.359 0.125 [24 per cell]
Ir 0.125 0.125 0.125 [8 per cell]
Br 0.119 0.131 0.625 [24 per cell]

Main lines, in order of rising 2θ (2θ from 10° to 80°):
two_theta  I (rel.)  h k l
10.2  65  1 1 0
22.9  11  3 1 0
29.1  100  4 0 0
30.9  9  4 1 1
37.4  15  5 1 0
41.7  71  4 4 0
51.7  24  4 4 4
60.4  11  8 0 0
68.4  27  8 4 0
76.1  19  8 4 4


Entry 6:
Structure and calculated XRD peak list of Te7IrBr7 (a PBE-relaxed structure; CuKα).

Cell and atoms:
Cell lengths 9.899, 10.492, 12.070 Å; angles 94.45, 113.25, 112.14 degrees
Space group P-1 (No. 2)
Symmetry-distinct sites (fractional):
Te 0.065 0.258 0.228 [2 per cell]
Te 0.069 0.843 0.526 [2 per cell]
Te 0.077 0.449 0.789 [2 per cell]
Te 0.210 0.547 0.531 [2 per cell]
Te 0.227 0.780 0.391 [2 per cell]
Te 0.242 0.341 0.686 [2 per cell]
Te 0.380 0.834 0.840 [2 per cell]
Ir 0.083 0.650 0.660 [2 per cell]
Br 0.111 0.027 0.815 [2 per cell]
Br 0.140 0.767 0.005 [2 per cell]
Br 0.275 0.537 0.237 [2 per cell]
Br 0.295 0.238 0.463 [2 per cell]
Br 0.409 0.194 0.220 [2 per cell]
Br 0.419 0.045 0.708 [2 per cell]
Br 0.436 0.646 0.978 [2 per cell]

Main lines, in order of rising 2θ (2θ from 10° to 80°):
two_theta  I (rel.)  h k l
10.2  59  1 0 -1
10.8  100  1 -1 0
28.9  39  1 1 2
29.2  25  1 -3 2
31.9  58  -3 2 3
32.3  37  2 1 1
32.7  34  0 3 -3
42.5  15  1 4 -1
44.5  18  2 -2 4
48.7  26  -4 5 1


What did the first record say?
Structure and calculated XRD peak list of InSn2Br5 (a PBE-relaxed structure; CuKα).

Cell and atoms:
Cell lengths 8.439, 8.439, 14.828 Å; angles 90.00, 90.00, 90.00 degrees
Space group I4/mcm (No. 140)
Symmetry-distinct sites (fractional):
In 0.000 0.000 0.250 [4 per cell]
Sn 0.175 0.325 0.000 [8 per cell]
Br 0.000 0.000 0.000 [4 per cell]
Br 0.161 0.339 0.365 [16 per cell]

Main lines, in order of rising 2θ (2θ from 10° to 80°):
two_theta  I (rel.)  h k l
11.9  19  0 0 2
24.3  14  2 0 2
28.3  22  1 1 4
29.8  100  2 1 3
29.9  20  2 2 0
33.6  57  3 1 0
38.6  28  2 1 5
48.1  27  4 1 3
54.5  15  4 1 5
60.8  18  3 1 8